# CaPm3Y2Se6
Computed X-ray diffraction stick pattern, copper Kα. Input: the GGA-PBE geometry in Alexandria.
No peak broadening, texture or thermal motion is included.

Largest 8 diffraction maxima, by intensity, 5° ≤ 2θ ≤ 70°:
| d [Å] | Position (°2θ) | I/Imax |
| --- | --- | --- |
| 2.940 | 30.4 | 100 |
| 2.084 | 43.4 | 25 |
| 2.073 | 43.7 | 24 |
| 1.690 | 54.3 | 13 |
| 2.094 | 43.2 | 12 |
| 2.065 | 43.8 | 12 |
| 1.470 | 63.3 | 12 |
| 1.712 | 53.5 | 6 |

Structure:
```
CaPm3Y2Se6
1.0
9.075 -2.065 0.000
9.075 2.065 0.000
-1.994 0.000 8.137
Ca Pm Y Se
1 3 2 6
Direct
0.000 0.000 0.000
0.000 0.000 0.500
0.334 0.334 0.172
0.666 0.666 0.828
0.331 0.331 0.663
0.669 0.669 0.337
0.165 0.165 0.088
0.168 0.168 0.577
0.497 0.497 0.754
0.503 0.503 0.246
0.832 0.832 0.423
0.835 0.835 0.912
```